# HgS4Cl5
Simulated powder X-ray diffraction pattern, Cu Kα X-rays. Input: a DFT-relaxed cell (PBE, Alexandria).

Peak list (6 most intense, 2θ = 5–70°, by angle)
two_theta  I/Imax
13.2  30
14.7  62
16.2  100
22.3  41
23.8  33
24.8  40

Structural model:
a b c (Å): 8.030 8.030 7.489
angles (deg): 115.56 115.56 60.34
Fractional coordinates of all 10 atoms:
1 Hg 0.000 0.000 0.000
2 S 0.378 0.454 0.428
3 S 0.546 0.622 0.572
4 S 0.729 0.116 0.410
5 S 0.884 0.271 0.590
6 Cl 0.019 0.659 0.778
7 Cl 0.246 0.505 0.145
8 Cl 0.341 0.981 0.222
9 Cl 0.495 0.754 0.855
10 Cl 0.704 0.296 0.000

---

# RbBa2BiSe4
Simulated powder X-ray diffraction pattern, Cu Kα X-rays. Input: a DFT-relaxed cell (PBE, Alexandria).

Peak list (6 most intense, 2θ = 5–70°, by angle)
two_theta  I/Imax
23.6  22
27.2  100
27.5  48
39.1  74
48.4  20
63.7  26

Structural model:
a b c (Å): 9.212 9.212 9.212
angles (deg): 119.78 119.52 90.60
Fractional coordinates of all 16 atoms:
1 Rb 0.000 0.000 0.000
2 Rb 0.500 0.000 0.500
3 Ba 0.000 0.500 0.500
4 Ba 0.500 0.000 0.000
5 Ba 0.500 0.500 0.000
6 Ba 0.500 0.500 0.500
7 Bi 0.000 0.000 0.500
8 Bi 0.000 0.500 0.000
9 Se 0.226 0.748 0.478
10 Se 0.230 0.252 0.978
11 Se 0.235 0.243 0.509
12 Se 0.235 0.726 0.991
13 Se 0.765 0.274 0.009
14 Se 0.765 0.757 0.491
15 Se 0.770 0.748 0.022
16 Se 0.774 0.252 0.522

---

# Zr2RuPb
Simulated powder X-ray diffraction pattern, Cu Kα X-rays. Input: a DFT-relaxed cell (PBE, Alexandria).

Peak list (6 most intense, 2θ = 5–70°, by angle)
two_theta  I/Imax
27.2  22
32.2  23
33.9  100
38.1  51
40.3  36
41.1  61

Structural model:
a b c (Å): 4.478 3.434 11.119
angles (deg): 90.00 90.00 90.00
Fractional coordinates of all 8 atoms:
1 Zr 0.000 0.000 0.000
2 Zr 0.000 0.500 0.500
3 Zr 0.500 0.000 0.318
4 Zr 0.500 0.500 0.818
5 Ru 0.000 0.000 0.772
6 Ru 0.000 0.500 0.272
7 Pb 0.500 0.000 0.593
8 Pb 0.500 0.500 0.093

---

# Sm4Co2Ag
Simulated powder X-ray diffraction pattern, Cu Kα X-rays. Input: a DFT-relaxed cell (PBE, Alexandria).

Peak list (6 most intense, 2θ = 5–70°, by angle)
two_theta  I/Imax
29.6  80
30.4  69
30.9  100
33.0  55
44.9  32
54.7  29

Structural model:
a b c (Å): 6.841 6.841 13.604
angles (deg): 90.00 90.00 145.68
Fractional coordinates of all 14 atoms:
1 Sm 0.000 0.000 0.000
2 Sm 0.000 0.000 0.500
3 Sm 0.268 0.732 0.608
4 Sm 0.268 0.732 0.892
5 Sm 0.435 0.565 0.250
6 Sm 0.565 0.435 0.750
7 Sm 0.732 0.268 0.108
8 Sm 0.732 0.268 0.392
9 Co 0.372 0.628 0.065
10 Co 0.372 0.628 0.435
11 Co 0.628 0.372 0.565
12 Co 0.628 0.372 0.935
13 Ag 0.118 0.882 0.250
14 Ag 0.882 0.118 0.750

---

# NpBi2S5
Simulated powder X-ray diffraction pattern, Cu Kα X-rays. Input: a DFT-relaxed cell (PBE, Alexandria).

Peak list (6 most intense, 2θ = 5–70°, by angle)
two_theta  I/Imax
14.2  100
26.1  29
30.2  29
30.6  27
33.2  35
33.9  26

Structural model:
a b c (Å): 9.154 7.327 6.871
angles (deg): 80.23 52.07 47.71
Fractional coordinates of all 8 atoms:
1 Np 0.000 0.000 0.000
2 Bi 0.280 0.280 0.720
3 Bi 0.720 0.720 0.280
4 S 0.011 0.724 0.276
5 S 0.276 0.989 0.011
6 S 0.500 0.500 0.500
7 S 0.724 0.011 0.989
8 S 0.989 0.276 0.724

---

# Tb5Er12Th
Simulated powder X-ray diffraction pattern, Cu Kα X-rays. Input: a DFT-relaxed cell (PBE, Alexandria).

Peak list (6 most intense, 2θ = 5–70°, by angle)
two_theta  I/Imax
31.1  100
36.0  51
51.8  18
51.9  18
61.6  25
61.7  18

Structural model:
a b c (Å): 10.576 10.576 6.113
angles (deg): 106.68 106.68 59.99
Fractional coordinates of all 18 atoms:
1 Tb 0.000 0.000 0.000
2 Tb 0.167 0.167 0.500
3 Tb 0.334 0.334 0.005
4 Tb 0.666 0.666 0.995
5 Tb 0.833 0.833 0.500
6 Er 0.000 0.333 0.000
7 Er 0.000 0.667 0.000
8 Er 0.167 0.501 0.499
9 Er 0.169 0.831 0.500
10 Er 0.333 0.000 0.000
11 Er 0.334 0.666 0.000
12 Er 0.499 0.833 0.501
13 Er 0.501 0.167 0.499
14 Er 0.666 0.334 0.000
15 Er 0.667 0.000 0.000
16 Er 0.831 0.169 0.500
17 Er 0.833 0.499 0.501
18 Th 0.500 0.500 0.500

---

# Fe3SiNi
Simulated powder X-ray diffraction pattern, Cu Kα X-rays. Input: a DFT-relaxed cell (PBE, Alexandria).

Peak list (6 most intense, 2θ = 5–70°, by angle)
two_theta  I/Imax
32.8  12
44.5  100
47.1  59
49.5  23
56.4  7
64.8  6

Structural model:
a b c (Å): 6.106 6.106 6.106
angles (deg): 90.00 90.00 90.00
Fractional coordinates of all 20 atoms:
1 Fe 0.047 0.123 0.794
2 Fe 0.123 0.794 0.047
3 Fe 0.206 0.547 0.377
4 Fe 0.294 0.453 0.877
5 Fe 0.377 0.206 0.547
6 Fe 0.453 0.877 0.294
7 Fe 0.547 0.377 0.206
8 Fe 0.623 0.706 0.953
9 Fe 0.706 0.953 0.623
10 Fe 0.794 0.047 0.123
11 Fe 0.877 0.294 0.453
12 Fe 0.953 0.623 0.706
13 Si 0.063 0.937 0.437
14 Si 0.437 0.063 0.937
15 Si 0.563 0.563 0.563
16 Si 0.937 0.437 0.063
17 Ni 0.185 0.185 0.185
18 Ni 0.315 0.815 0.685
19 Ni 0.685 0.315 0.815
20 Ni 0.815 0.685 0.315

---

# Cs2BeGeS4
Simulated powder X-ray diffraction pattern, Cu Kα X-rays. Input: a DFT-relaxed cell (PBE, Alexandria).

Peak list (6 most intense, 2θ = 5–70°, by angle)
two_theta  I/Imax
25.2  40
27.2  100
30.0  48
35.9  19
45.6  46
49.4  23

Structural model:
a b c (Å): 7.081 7.081 8.652
angles (deg): 90.00 90.00 90.00
Fractional coordinates of all 16 atoms:
1 Cs 0.000 0.000 0.000
2 Cs 0.000 0.500 0.250
3 Cs 0.500 0.000 0.750
4 Cs 0.500 0.500 0.500
5 Be 0.000 0.000 0.500
6 Be 0.500 0.500 0.000
7 Ge 0.000 0.500 0.750
8 Ge 0.500 0.000 0.250
9 S 0.111 0.248 0.614
10 S 0.248 0.889 0.386
11 S 0.252 0.611 0.886
12 S 0.389 0.252 0.114
13 S 0.611 0.748 0.114
14 S 0.748 0.389 0.886
15 S 0.752 0.111 0.386
16 S 0.889 0.752 0.614

---

# HoZn12Cu6
Simulated powder X-ray diffraction pattern, Cu Kα X-rays. Input: a DFT-relaxed cell (PBE, Alexandria).

Peak list (6 most intense, 2θ = 5–70°, by angle)
two_theta  I/Imax
35.6  100
35.9  72
42.7  37
46.8  41
47.2  48
52.7  50

Structural model:
a b c (Å): 6.949 6.949 6.949
angles (deg): 104.81 104.81 104.81
Fractional coordinates of all 19 atoms:
1 Ho 0.000 0.000 0.000
2 Zn 0.113 0.500 0.887
3 Zn 0.113 0.887 0.500
4 Zn 0.138 0.392 0.392
5 Zn 0.392 0.138 0.392
6 Zn 0.392 0.392 0.138
7 Zn 0.500 0.113 0.887
8 Zn 0.500 0.887 0.113
9 Zn 0.608 0.608 0.862
10 Zn 0.608 0.862 0.608
11 Zn 0.862 0.608 0.608
12 Zn 0.887 0.113 0.500
13 Zn 0.887 0.500 0.113
14 Cu 0.285 0.285 0.705
15 Cu 0.285 0.705 0.285
16 Cu 0.295 0.715 0.715
17 Cu 0.705 0.285 0.285
18 Cu 0.715 0.295 0.715
19 Cu 0.715 0.715 0.295

---

# Dy2Pa2Se5
Simulated powder X-ray diffraction pattern, Cu Kα X-rays. Input: a DFT-relaxed cell (PBE, Alexandria).

Peak list (6 most intense, 2θ = 5–70°, by angle)
two_theta  I/Imax
25.4  54
27.1  49
29.0  100
34.5  62
41.6  95
44.8  75

Structural model:
a b c (Å): 4.044 4.044 19.347
angles (deg): 90.00 90.00 120.00
Fractional coordinates of all 9 atoms:
1 Dy 0.333 0.667 0.088
2 Dy 0.667 0.333 0.912
3 Pa 0.333 0.667 0.681
4 Pa 0.667 0.333 0.319
5 Se 0.000 0.000 0.000
6 Se 0.333 0.667 0.402
7 Se 0.333 0.667 0.829
8 Se 0.667 0.333 0.171
9 Se 0.667 0.333 0.598

---

# Er2Ge5Pd3
Simulated powder X-ray diffraction pattern, Cu Kα X-rays. Input: a DFT-relaxed cell (PBE, Alexandria).

Peak list (6 most intense, 2θ = 5–70°, by angle)
two_theta  I/Imax
33.9  17
34.8  100
35.5  66
39.2  48
41.5  61
67.8  18

Structural model:
a b c (Å): 12.363 12.363 6.976
angles (deg): 90.00 90.00 159.74
Fractional coordinates of all 20 atoms:
1 Er 0.020 0.980 0.500
2 Er 0.326 0.674 0.503
3 Er 0.674 0.326 0.003
4 Er 0.980 0.020 0.000
5 Ge 0.102 0.898 0.849
6 Ge 0.204 0.796 0.318
7 Ge 0.211 0.789 0.731
8 Ge 0.382 0.618 0.974
9 Ge 0.453 0.547 0.669
10 Ge 0.547 0.453 0.169
11 Ge 0.618 0.382 0.474
12 Ge 0.789 0.211 0.231
13 Ge 0.796 0.204 0.818
14 Ge 0.898 0.102 0.349
15 Pd 0.105 0.895 0.222
16 Pd 0.277 0.723 0.036
17 Pd 0.445 0.555 0.283
18 Pd 0.555 0.445 0.783
19 Pd 0.723 0.277 0.536
20 Pd 0.895 0.105 0.722